For Sm2CdWO8, a structure optimized by DFT (GGA+U) gives the simulated X-ray powder pattern in this record (Cu Ka).

Peak list (10 most intense, 15° ≤ 2θ ≤ 90°, in order of rising 2θ)
hkl 1 1 0, 2θ 25.27, I 100; hkl 1 -1 0, 2θ 26.85, I 66; hkl 0 1 2, 2θ 28.79, I 60; hkl 0 1 -2, 2θ 30.58, I 52; hkl 1 0 2, 2θ 31.08, I 44; hkl 1 0 -2, 2θ 31.23, I 42; hkl 0 2 0, 2θ 34.68, I 26; hkl 1 2 2, 2θ 45.06, I 24; hkl 1 2 -2, 2θ 47.62, I 21; hkl 0 0 4, 2θ 49.32, I 29

Unit cell a=4.5622 b=5.1923 c=7.4098 alpha=86.42 beta=89.52 gamma=86.55
Space group P-1 (No. 2)
Unique sites:
Sm (0.0671, 0.4652, 0.2490)
Cd (0.5000, 0.0000, 0.0000)
W (0.5000, 0.0000, 0.5000)
O (0.1780, 0.2528, 0.5426)
O (0.1954, 0.3065, 0.9770)
O (0.2779, 0.8606, 0.3041)
O (0.3742, 0.7501, 0.6855)